(1)
# Sm2SnSb2
Simulated PXRD pattern, Cu Kα X-rays. Input: a crystal structure in OQMD, relaxed with GGA-PBE.
Lines closer than 0.1° are merged.

```
Sm2SnSb2
1.0
0.0000 7.8000 3.6278
5.0675 0.0000 3.6278
5.0675 7.8000 0.0000
Sm Sn Sb
4 2 4
Cartesian
5.6394 3.1277 3.6278 Sm
7.0294 7.0277 5.4417 Sm
4.4956 12.4722 3.6278 Sm
3.1057 8.5723 5.4417 Sm
5.0675 7.8000 0.7080 Sn
2.5338 3.9000 2.5219 Sn
6.6958 5.7765 2.3850 Sb
4.1621 5.9235 4.1989 Sb
5.9730 9.6765 4.1989 Sb
3.4392 9.8234 2.3850 Sb
```

Main lines, in order of rising 2θ (10 to 90 degrees two-theta):
2θ = 27.11°, 3.289 Å, I 17; 2θ = 29.73°, 3.005 Å, I 23; 2θ = 30.30°, 2.950 Å, I 35; 2θ = 32.46°, 2.758 Å, I 100; 2θ = 33.97°, 2.639 Å, I 28; 2θ = 37.32°, 2.410 Å, I 18; 2θ = 42.16°, 2.143 Å, I 22; 2θ = 43.40°, 2.085 Å, I 10; 2θ = 59.83°, 1.546 Å, I 11; 2θ = 70.96°, 1.328 Å, I 10

=====

(2)
# Rb2Cu3S4
Simulated PXRD pattern, Cu Kα X-rays. Input: a crystal structure in OQMD, relaxed with GGA-PBE.
Lines closer than 0.1° are merged.

```
Rb2Cu3S4
1.0
-2.8149 5.5847 6.4465
2.8149 -5.5847 6.4465
2.8149 5.5847 -6.4465
Rb Cu S
4 6 8
Cartesian
1.3233 1.3622 0.0000 Rb
1.3233 -1.3622 6.4465 Rb
1.4917 6.9469 0.0000 Rb
1.4917 4.2224 6.4465 Rb
2.8149 2.9504 -3.2232 Cu
2.8149 0.0000 3.2232 Cu
0.0000 2.6343 3.2232 Cu
2.8149 2.9504 3.2232 Cu
0.0000 5.5847 3.2232 Cu
0.0000 2.6343 9.6697 Cu
1.5299 -1.4549 1.9979 S
1.2850 4.1297 -1.9979 S
4.1000 1.4549 1.9979 S
1.5299 1.4549 4.4486 S
1.2850 4.1297 1.9979 S
-1.2850 4.1297 4.4486 S
1.5299 1.4549 8.4443 S
1.2850 7.0396 4.4486 S
```

Main lines, in order of rising 2θ (10 to 90 degrees two-theta):
2θ = 23.47°, 3.790 Å, I 19; 2θ = 27.68°, 3.223 Å, I 28; 2θ = 30.68°, 2.914 Å, I 100; 2θ = 34.78°, 2.580 Å, I 43; 2θ = 35.02°, 2.562 Å, I 40; 2θ = 45.77°, 1.982 Å, I 44; 2θ = 53.66°, 1.708 Å, I 25; 2θ = 53.83°, 1.703 Å, I 25; 2θ = 54.33°, 1.689 Å, I 16; 2θ = 56.28°, 1.635 Å, I 17

=====

(3)
# DyYI2O2
Simulated PXRD pattern, Cu Kα X-rays. Input: a crystal structure in OQMD, relaxed with GGA-PBE.
Lines closer than 0.1° are merged.

```
DyYI2O2
1.0
3.9336 0.0000 0.0000
0.0000 3.9336 0.0000
0.0000 0.0000 9.1958
Dy Y I O
1 1 2 2
Cartesian
0.0000 0.0000 0.0000 Dy
1.9668 1.9668 7.0071 Y
0.0000 0.0000 5.1056 I
1.9668 1.9668 1.9047 I
0.0000 1.9668 8.1094 O
1.9668 0.0000 8.1094 O
```

Main lines, in order of rising 2θ (10 to 90 degrees two-theta):
2θ = 29.89°, 2.989 Å, I 100; 2θ = 32.18°, 2.781 Å, I 43; 2θ = 37.19°, 2.418 Å, I 15; 2θ = 37.80°, 2.380 Å, I 8; 2θ = 46.15°, 1.967 Å, I 20; 2θ = 51.58°, 1.772 Å, I 13; 2θ = 55.97°, 1.643 Å, I 34; 2θ = 60.34°, 1.534 Å, I 12; 2θ = 60.70°, 1.526 Å, I 7; 2θ = 76.60°, 1.244 Å, I 7

=====

(4)
# Cu5Ag4
Simulated PXRD pattern, Cu Kα X-rays. Input: a crystal structure in OQMD, relaxed with GGA-PBE.
Lines closer than 0.1° are merged.

```
Cu5Ag4
1.0
5.7205 -1.3976 0.0000
5.7205 1.3976 0.0000
-2.2117 0.0000 8.2346
Cu Ag
5 4
Cartesian
0.0000 0.0000 0.0000 Cu
-0.5779 0.0000 2.5714 Cu
2.1165 0.0000 6.5772 Cu
3.7838 0.0000 0.8753 Cu
5.8931 0.0000 7.4337 Cu
-1.4034 0.0000 5.7471 Ag
3.1156 0.0000 3.6128 Ag
7.2599 0.0000 1.6979 Ag
6.5114 0.0000 4.5871 Ag
```

Main lines, in order of rising 2θ (10 to 90 degrees two-theta):
2θ = 39.84°, 2.262 Å, I 47; 2θ = 40.30°, 2.238 Å, I 47; 2θ = 40.51°, 2.227 Å, I 100; 2θ = 45.52°, 1.993 Å, I 65; 2θ = 49.50°, 1.842 Å, I 26; 2θ = 66.95°, 1.398 Å, I 10; 2θ = 69.18°, 1.358 Å, I 16; 2θ = 69.82°, 1.347 Å, I 16; 2θ = 80.84°, 1.189 Å, I 11; 2θ = 81.13°, 1.185 Å, I 11